[1]
This entry pairs a crystal structure of Sr3Li2Pb5 with its simulated PXRD pattern. Radiation: λ = 1.5418 Å (Cu Kα). Structure: DFT lattice parameters and positions (PBE).
Neutral-atom scattering factors, no anomalous dispersion.

Cell and atoms:
Unit cell a=11.4197 b=11.4197 c=4.6100 alpha=90.00 beta=90.00 gamma=90.00
Space group P4/mbm (No. 127)
Unique sites:
Sr (0.0000, 0.0000, 0.0000) x2
Sr (0.1755, 0.3245, 0.0000) x4
Li (0.1187, 0.6187, 0.0000) x4
Pb (0.0000, 0.5000, 0.5000) x2
Pb (0.0733, 0.7815, 0.5000) x8

Principal peaks in the range 10° ≤ 2θ ≤ 80°, by angle:
- hkl 0 0 1, d = 4.610 Å, 19.25°, intensity 69
- hkl 2 1 1, d = 3.422 Å, 26.04°, intensity 68
- hkl 3 2 0, d = 3.167 Å, 28.18°, intensity 32
- hkl 3 1 1, d = 2.843 Å, 31.47°, intensity 100
- hkl 4 1 0, d = 2.770 Å, 32.32°, intensity 65
- hkl 3 2 1, d = 2.611 Å, 34.35°, intensity 52
- hkl 4 2 0, d = 2.554 Å, 35.14°, intensity 42
- hkl 0 0 2, d = 2.305 Å, 39.08°, intensity 37
- hkl 4 1 2, d = 1.772 Å, 51.59°, intensity 35
- hkl 7 1 1, d = 1.524 Å, 60.77°, intensity 36


[2]
This entry pairs a crystal structure of NdThNiIr with its simulated PXRD pattern. Radiation: λ = 1.5418 Å (Cu Kα). Structure: DFT lattice parameters and positions (PBE).
Neutral-atom scattering factors, no anomalous dispersion.

Cell and atoms:
Unit cell a=4.2327 b=3.8725 c=11.1649 alpha=90.00 beta=90.00 gamma=90.00
Space group Amm2 (No. 38)
Unique sites:
Nd (0.0000, 0.0000, 0.0000) x2
Th (0.5000, 0.0000, 0.7293) x2
Ni (0.5000, 0.0000, 0.4427) x2
Ir (0.0000, 0.0000, 0.2718) x2

Principal peaks in the range 10° ≤ 2θ ≤ 80°, by angle:
- hkl 0 0 2, d = 5.582 Å, 15.88°, intensity 29
- hkl 0 0 4, d = 2.791 Å, 32.07°, intensity 35
- hkl 1 1 1, d = 2.768 Å, 32.34°, intensity 100
- hkl 0 1 3, d = 2.683 Å, 33.39°, intensity 20
- hkl 1 0 4, d = 2.330 Å, 38.64°, intensity 14
- hkl 1 1 3, d = 2.266 Å, 39.77°, intensity 65
- hkl 2 0 0, d = 2.116 Å, 42.73°, intensity 24
- hkl 0 2 0, d = 1.936 Å, 46.93°, intensity 19
- hkl 2 0 4, d = 1.686 Å, 54.41°, intensity 16
- hkl 2 2 0, d = 1.429 Å, 65.32°, intensity 14